[1]
Structure and computed X-ray powder pattern of ScTlCdPb (a crystal structure in Alexandria, relaxed with GGA-PBE; λ = 1.5418 Å (Cu Kα)).
Neutral-atom scattering factors, no anomalous dispersion.

Top 10 peaks for 15° ≤ 2θ ≤ 90°, in order of rising 2θ:
d_spacing, Rel. int.
4.399, 16
3.351, 17
2.666, 100
2.464, 20
2.286, 16
2.199, 14
1.676, 12
1.458, 16
1.382, 13
1.343, 12

Structure:
Unit cell a=4.399 b=4.571 c=4.928 alpha=90.00 beta=90.00 gamma=90.00
Element x y z (fractional)
Sc 0.000 0.000 0.000
Tl 0.500 0.000 0.500
Cd 0.000 0.500 0.500
Pb 0.500 0.500 0.000

---

[2]
Structure and computed X-ray powder pattern of HgIBr2 (a crystal structure in Alexandria, relaxed with GGA-PBE; λ = 1.5418 Å (Cu Kα)).
Neutral-atom scattering factors, no anomalous dispersion.

Top 10 peaks for 15° ≤ 2θ ≤ 90°, in order of rising 2θ:
d_spacing, Rel. int.
5.786, 100
4.092, 52
3.977, 28
2.905, 26
2.588, 35
2.369, 80
2.047, 24
1.832, 41
1.448, 15
1.365, 19

Structure:
Unit cell a=8.753 b=8.753 c=8.753 alpha=97.24 beta=97.24 gamma=138.42
Element x y z (fractional)
Hg 0.000 0.500 0.500
Hg 0.500 0.000 0.500
I 0.251 0.251 0.000
I 0.751 0.751 0.000
Br 0.115 0.615 0.231
Br 0.385 0.885 0.769
Br 0.615 0.385 0.500
Br 0.885 0.115 0.500